No. 1
Calculated powder diffraction line list of Li9Mn2Co5O16 for Cu Ka, from DFT lattice parameters and positions (GGA+U).

Crystal structure
Cell: 21.1690 2.9149 9.8705 Å, 90.00 107.81 90.00°
Space group Cm (No. 8)
Symmetry-distinct sites (fractional):
Li 0.0000 0.0000 0.0000 (multiplicity 2)
Li 0.9998 0.5000 0.4952 (multiplicity 2)
Li 0.1281 0.0000 0.6243 (multiplicity 2)
Li 0.1317 0.5000 0.1276 (multiplicity 2)
Li 0.2525 0.5000 0.7491 (multiplicity 2)
Li 0.2561 0.0000 0.2397 (multiplicity 2)
Li 0.3141 0.5000 0.0657 (multiplicity 2)
Li 0.3680 0.0000 0.8786 (multiplicity 2)
Li 0.3738 0.5000 0.3645 (multiplicity 2)
Mn 0.0644 0.5000 0.8139 (multiplicity 2)
Mn 0.4343 0.0000 0.1845 (multiplicity 2)
Co 0.0640 0.0000 0.3101 (multiplicity 2)
Co 0.1894 0.5000 0.4337 (multiplicity 2)
Co 0.2002 0.0000 0.9390 (multiplicity 2)
Co 0.3146 0.0000 0.5581 (multiplicity 2)
Co 0.4358 0.5000 0.6866 (multiplicity 2)
O 0.0296 0.5000 0.1671 (multiplicity 2)
O 0.0346 0.0000 0.6737 (multiplicity 2)
O 0.0909 0.0000 0.9495 (multiplicity 2)
O 0.0929 0.5000 0.4556 (multiplicity 2)
O 0.1510 0.5000 0.7906 (multiplicity 2)
O 0.1565 0.0000 0.2885 (multiplicity 2)
O 0.2169 0.5000 0.0794 (multiplicity 2)
O 0.2194 0.0000 0.5782 (multiplicity 2)
O 0.2765 0.0000 0.8980 (multiplicity 2)
O 0.2825 0.5000 0.4115 (multiplicity 2)
O 0.3481 0.5000 0.7129 (multiplicity 2)
O 0.3536 0.0000 0.2155 (multiplicity 2)
O 0.4105 0.0000 0.5418 (multiplicity 2)
O 0.4116 0.5000 0.0478 (multiplicity 2)
O 0.4682 0.5000 0.3255 (multiplicity 2)
O 0.4746 0.0000 0.8330 (multiplicity 2)

Principal peaks in the range 10° ≤ 2θ ≤ 90°, by angle:
two_theta  d (Å)  I (rel.)  hkl
18.2  4.867  100  2 0 -2
36.0  2.493  26  3 1 1
43.1  2.099  27  10 0 -2
43.6  2.077  56  1 1 3
62.7  1.483  15  9 1 -5
63.2  1.471  14  11 1 1

---

No. 2
Calculated powder diffraction line list of Sr2Nd2TlNi2O9 for Cu Ka, from DFT lattice parameters and positions (GGA+U).

Crystal structure
Cell: 5.3937 29.9077 5.4348 Å, 90.00 90.00 90.00°
Space group Fmm2 (No. 42)
Symmetry-distinct sites (fractional):
Sr 0.0000 0.0845 0.0000 (multiplicity 8)
Nd 0.0000 0.2026 0.9933 (multiplicity 8)
Tl 0.0000 0.0000 0.5351 (multiplicity 4)
Ni 0.0000 0.1467 0.4942 (multiplicity 8)
O 0.0000 0.0000 0.9644 (multiplicity 4)
O 0.0000 0.0707 0.4904 (multiplicity 8)
O 0.0000 0.2194 0.4926 (multiplicity 8)
O 0.2501 0.1492 0.2441 (multiplicity 16)

Principal peaks in the range 10° ≤ 2θ ≤ 90°, by angle:
two_theta  d (Å)  I (rel.)  hkl
24.9  3.574  33  1 3 1
31.4  2.851  100  1 7 1
33.0  2.717  34  0 0 2
33.2  2.697  35  2 0 0
47.5  1.914  32  2 0 2
58.2  1.585  18  3 7 1

---

Repeat the first record exactly.
Calculated powder diffraction line list of Li9Mn2Co5O16 for Cu Ka, from DFT lattice parameters and positions (GGA+U).

Crystal structure
Cell: 21.1690 2.9149 9.8705 Å, 90.00 107.81 90.00°
Space group Cm (No. 8)
Symmetry-distinct sites (fractional):
Li 0.0000 0.0000 0.0000 (multiplicity 2)
Li 0.9998 0.5000 0.4952 (multiplicity 2)
Li 0.1281 0.0000 0.6243 (multiplicity 2)
Li 0.1317 0.5000 0.1276 (multiplicity 2)
Li 0.2525 0.5000 0.7491 (multiplicity 2)
Li 0.2561 0.0000 0.2397 (multiplicity 2)
Li 0.3141 0.5000 0.0657 (multiplicity 2)
Li 0.3680 0.0000 0.8786 (multiplicity 2)
Li 0.3738 0.5000 0.3645 (multiplicity 2)
Mn 0.0644 0.5000 0.8139 (multiplicity 2)
Mn 0.4343 0.0000 0.1845 (multiplicity 2)
Co 0.0640 0.0000 0.3101 (multiplicity 2)
Co 0.1894 0.5000 0.4337 (multiplicity 2)
Co 0.2002 0.0000 0.9390 (multiplicity 2)
Co 0.3146 0.0000 0.5581 (multiplicity 2)
Co 0.4358 0.5000 0.6866 (multiplicity 2)
O 0.0296 0.5000 0.1671 (multiplicity 2)
O 0.0346 0.0000 0.6737 (multiplicity 2)
O 0.0909 0.0000 0.9495 (multiplicity 2)
O 0.0929 0.5000 0.4556 (multiplicity 2)
O 0.1510 0.5000 0.7906 (multiplicity 2)
O 0.1565 0.0000 0.2885 (multiplicity 2)
O 0.2169 0.5000 0.0794 (multiplicity 2)
O 0.2194 0.0000 0.5782 (multiplicity 2)
O 0.2765 0.0000 0.8980 (multiplicity 2)
O 0.2825 0.5000 0.4115 (multiplicity 2)
O 0.3481 0.5000 0.7129 (multiplicity 2)
O 0.3536 0.0000 0.2155 (multiplicity 2)
O 0.4105 0.0000 0.5418 (multiplicity 2)
O 0.4116 0.5000 0.0478 (multiplicity 2)
O 0.4682 0.5000 0.3255 (multiplicity 2)
O 0.4746 0.0000 0.8330 (multiplicity 2)

Principal peaks in the range 10° ≤ 2θ ≤ 90°, by angle:
two_theta  d (Å)  I (rel.)  hkl
18.2  4.867  100  2 0 -2
36.0  2.493  26  3 1 1
43.1  2.099  27  10 0 -2
43.6  2.077  56  1 1 3
62.7  1.483  15  9 1 -5
63.2  1.471  14  11 1 1